No. 1
YMn8Fe4: calculated powder X-ray diffraction pattern (Cu Kα), based on the GGA-PBE geometry in the Materials Project.

Peak list (12 most intense, 2θ = 5–70°, in order of rising 2θ)
30.52°, rel. 24.2; 33.89°, rel. 9.4; 37.49°, rel. 41.1; 38.21°, rel. 17.1; 43.27°, rel. 77.5; 43.49°, rel. 100.0; 44.13°, rel. 85.0; 46.04°, rel. 9.8; 48.69°, rel. 27.4; 48.89°, rel. 26.1; 49.48°, rel. 56.0; 63.52°, rel. 11.5

Crystal structure
a = 6.3657 Å, b = 6.3657 Å, c = 6.3657 Å
α = 97.87°, β = 97.87°, γ = 136.57°
Atoms (fractional coordinates):
Y: 0.0000 0.0000 0.0000
Mn: 0.0000 0.3584 0.3584
Mn: 0.0000 0.6416 0.6416
Mn: 0.2683 0.5000 0.7683
Mn: 0.3584 0.0000 0.3584
Mn: 0.5000 0.2683 0.7683
Mn: 0.5000 0.7317 0.2317
Mn: 0.6416 0.0000 0.6416
Mn: 0.7317 0.5000 0.2317
Fe: 0.0000 0.0000 0.5000
Fe: 0.0000 0.5000 0.0000
Fe: 0.5000 0.0000 0.0000
Fe: 0.5000 0.5000 0.5000


No. 2
Rb2ScInF6: calculated powder X-ray diffraction pattern (Cu Kα), based on the GGA-PBE geometry in the Materials Project.

Peak list (12 most intense, 2θ = 5–70°, in order of rising 2θ)
16.46°, rel. 4.7; 27.03°, rel. 100.0; 31.81°, rel. 8.9; 33.26°, rel. 6.4; 38.60°, rel. 40.8; 42.22°, rel. 7.6; 47.75°, rel. 38.4; 50.85°, rel. 2.6; 55.73°, rel. 24.3; 58.52°, rel. 1.6; 63.01°, rel. 20.1; 69.84°, rel. 7.5

Crystal structure
a = 6.5978 Å, b = 6.5978 Å, c = 6.5978 Å
α = 60.00°, β = 60.00°, γ = 60.00°
Atoms (fractional coordinates):
Rb: 0.2500 0.2500 0.2500
Rb: 0.7500 0.7500 0.7500
Sc: 0.0000 0.0000 0.0000
In: 0.5000 0.5000 0.5000
F: 0.2185 0.2185 0.7815
F: 0.2185 0.7815 0.2185
F: 0.2185 0.7815 0.7815
F: 0.7815 0.2185 0.2185
F: 0.7815 0.2185 0.7815
F: 0.7815 0.7815 0.2185